Entry 1:
This entry pairs a crystal structure of Ba2YCu3O7 with its computed X-ray diffraction stick pattern. Radiation: Cu Ka. Structure: a cell relaxed with GGA-PBE.
No peak broadening, texture or thermal motion is included.

Crystal structure
Cell lengths 3.8447, 3.9262, 11.8237 Å; angles 90.00, 90.00, 90.00 degrees
Space group Pmmm (No. 47)
Asymmetric unit:
Ba: 0.0000 0.0000 0.1806 [2 per cell]
Y: 0.0000 0.0000 0.5000 [1 per cell]
Cu: 0.5000 0.5000 0.0000 [1 per cell]
Cu: 0.5000 0.5000 0.3533 [2 per cell]
O: 0.0000 0.5000 0.3793 [2 per cell]
O: 0.5000 0.0000 0.0000 [1 per cell]
O: 0.5000 0.0000 0.3783 [2 per cell]
O: 0.5000 0.5000 0.1592 [2 per cell]

Most intense lines, 15° ≤ 2θ ≤ 90°, low angle first:
- 2θ = 32.2°, rel. 46
- 2θ = 32.6°, rel. 100
- 2θ = 38.1°, rel. 7
- 2θ = 40.0°, rel. 12
- 2θ = 46.1°, rel. 9
- 2θ = 46.2°, rel. 15
- 2θ = 47.3°, rel. 14
- 2θ = 57.6°, rel. 18
- 2θ = 57.7°, rel. 19
- 2θ = 58.4°, rel. 17
- 2θ = 68.3°, rel. 9
- 2θ = 78.5°, rel. 8

=====

Entry 2:
This entry pairs a crystal structure of BaCd2As2 with its computed X-ray diffraction stick pattern. Radiation: Cu Ka. Structure: a cell relaxed with GGA-PBE.
No peak broadening, texture or thermal motion is included.

Crystal structure
Cell lengths 4.6004, 4.6004, 7.7866 Å; angles 90.00, 90.00, 120.00 degrees
Space group P-3m1 (No. 164)
Asymmetric unit:
Ba: 0.0000 0.0000 0.0000 [1 per cell]
Cd: 0.3333 0.6667 0.3703 [2 per cell]
As: 0.3333 0.6667 0.7368 [2 per cell]

Most intense lines, 15° ≤ 2θ ≤ 90°, low angle first:
- 2θ = 25.1°, rel. 100
- 2θ = 32.1°, rel. 87
- 2θ = 34.6°, rel. 18
- 2θ = 39.2°, rel. 87
- 2θ = 41.5°, rel. 37
- 2θ = 47.1°, rel. 18
- 2θ = 51.5°, rel. 22
- 2θ = 53.2°, rel. 31
- 2θ = 62.9°, rel. 15
- 2θ = 66.6°, rel. 20
- 2θ = 71.0°, rel. 14
- 2θ = 72.6°, rel. 14